Diffraction record for KSnI3. The XRD peak list is simulated, not measured: it uses a crystal structure in the Materials Project, relaxed with PBE and Cu Kα (λ = 1.5418 Å).
Kinematic intensities with the Lorentz-polarization factor, no thermal factor.

Main lines, by intensity (10 to 90 degrees two-theta):
- 27.34°, d = 3.262 Å, I = 100
- 25.82°, d = 3.450 Å, I = 71
- 25.63°, d = 3.476 Å, I = 43
- 27.10°, d = 3.290 Å, I = 41
- 26.79°, d = 3.328 Å, I = 39
- 37.56°, d = 2.395 Å, I = 39
- 41.96°, d = 2.153 Å, I = 36
- 31.85°, d = 2.810 Å, I = 33
- 54.49°, d = 1.684 Å, I = 29
- 40.89°, d = 2.207 Å, I = 25

```
data_KSnI3
_space_group_name_H-M_alt 'P 1'
_space_group_IT_number 1
_space_group_name_Hall 'P 1'
_cell_length_a 10.3845
_cell_length_b 4.7896
_cell_length_c 17.3459
_cell_angle_alpha 90.00
_cell_angle_beta 90.00
_cell_angle_gamma 90.00
loop_
_atom_site_label
_atom_site_type_symbol
_atom_site_fract_x
_atom_site_fract_y
_atom_site_fract_z
_atom_site_occupancy
K1 K 0.0808 0.2500 0.1724 1
K2 K 0.4192 0.7500 0.6724 1
K3 K 0.5808 0.2500 0.3276 1
K4 K 0.9192 0.7500 0.8276 1
Sn1 Sn 0.1618 0.7500 0.4394 1
Sn2 Sn 0.3382 0.2500 0.9394 1
Sn3 Sn 0.6618 0.7500 0.0606 1
Sn4 Sn 0.8382 0.2500 0.5606 1
I1 I 0.0258 0.7500 0.6178 1
I2 I 0.1588 0.7500 0.0035 1
I3 I 0.2005 0.2500 0.7858 1
I4 I 0.2995 0.7500 0.2858 1
I5 I 0.3412 0.2500 0.5035 1
I6 I 0.4742 0.2500 0.1178 1
I7 I 0.5258 0.7500 0.8822 1
I8 I 0.6588 0.7500 0.4965 1
I9 I 0.7005 0.2500 0.7142 1
I10 I 0.7995 0.7500 0.2142 1
I11 I 0.8412 0.2500 0.9965 1
I12 I 0.9742 0.2500 0.3822 1
```

Diffraction record for Na2CaP2O7. The XRD peak list is simulated, not measured: it uses a crystal structure in the Materials Project, relaxed with PBE and Cu Kα (λ = 1.5418 Å).
Kinematic intensities with the Lorentz-polarization factor, no thermal factor.

Main lines, by intensity (10 to 90 degrees two-theta):
- 30.09°, d = 2.970 Å, I = 100
- 32.77°, d = 2.733 Å, I = 95
- 21.10°, d = 4.211 Å, I = 92
- 33.28°, d = 2.692 Å, I = 74
- 21.26°, d = 4.179 Å, I = 70
- 29.53°, d = 3.024 Å, I = 67
- 27.60°, d = 3.232 Å, I = 40
- 37.75°, d = 2.383 Å, I = 38
- 20.79°, d = 4.272 Å, I = 32
- 45.47°, d = 1.995 Å, I = 30

```
data_Na2CaP2O7
_space_group_name_H-M_alt 'P 1'
_space_group_IT_number 1
_space_group_name_Hall 'P 1'
_cell_length_a 5.4667
_cell_length_b 7.1798
_cell_length_c 8.9288
_cell_angle_alpha 69.39
_cell_angle_beta 89.13
_cell_angle_gamma 88.90
loop_
_atom_site_label
_atom_site_type_symbol
_atom_site_fract_x
_atom_site_fract_y
_atom_site_fract_z
_atom_site_occupancy
Na1 Na 0.2339 0.2108 0.0186 1
Na2 Na 0.2657 0.1390 0.4511 1
Na3 Na 0.7343 0.8610 0.5489 1
Na4 Na 0.7661 0.7892 0.9814 1
Ca1 Ca 0.2686 0.7527 0.2797 1
Ca2 Ca 0.7314 0.2473 0.7203 1
P1 P 0.2060 0.5686 0.6905 1
P2 P 0.2524 0.8829 0.8256 1
P3 P 0.7476 0.1171 0.1744 1
P4 P 0.7940 0.4314 0.3095 1
O1 O 0.0427 0.9967 0.7172 1
O2 O 0.0690 0.4515 0.3302 1
O3 O 0.2231 0.8727 0.9992 1
O4 O 0.2286 0.6486 0.8424 1
O5 O 0.3266 0.7240 0.5451 1
O6 O 0.3404 0.3677 0.7524 1
O7 O 0.4917 0.0520 0.2435 1
O8 O 0.5083 0.9480 0.7565 1
O9 O 0.6596 0.6323 0.2476 1
O10 O 0.6734 0.2760 0.4549 1
O11 O 0.7714 0.3514 0.1576 1
O12 O 0.7769 0.1273 0.0008 1
O13 O 0.9310 0.5485 0.6698 1
O14 O 0.9573 0.0033 0.2828 1
```

Diffraction record for Ba6Bi6O17. The XRD peak list is simulated, not measured: it uses a crystal structure in the Materials Project, relaxed with PBE and Cu Kα (λ = 1.5418 Å).
Kinematic intensities with the Lorentz-polarization factor, no thermal factor.

Main lines, by intensity (10 to 90 degrees two-theta):
- 28.60°, d = 3.121 Å, I = 100
- 28.15°, d = 3.170 Å, I = 50
- 50.10°, d = 1.821 Å, I = 43
- 40.23°, d = 2.241 Å, I = 28
- 50.94°, d = 1.793 Å, I = 20
- 59.21°, d = 1.561 Å, I = 18
- 41.54°, d = 2.174 Å, I = 13
- 80.32°, d = 1.195 Å, I = 11
- 82.05°, d = 1.175 Å, I = 11
- 80.97°, d = 1.187 Å, I = 11

```
data_Ba6Bi6O17
_space_group_name_H-M_alt 'P 1'
_space_group_IT_number 1
_space_group_name_Hall 'P 1'
_cell_length_a 10.9287
_cell_length_b 10.9287
_cell_length_c 10.9287
_cell_angle_alpha 146.29
_cell_angle_beta 133.11
_cell_angle_gamma 58.98
loop_
_atom_site_label
_atom_site_type_symbol
_atom_site_fract_x
_atom_site_fract_y
_atom_site_fract_z
_atom_site_occupancy
Ba1 Ba 0.0000 0.0000 0.0000 1
Ba2 Ba 0.1681 0.6681 0.5000 1
Ba3 Ba 0.3224 0.3224 0.0000 1
Ba4 Ba 0.5000 0.0000 0.5000 1
Ba5 Ba 0.6776 0.6776 0.0000 1
Ba6 Ba 0.8319 0.3319 0.5000 1
Bi1 Bi 0.0858 0.8343 0.2515 1
Bi2 Bi 0.2518 0.5000 0.7518 1
Bi3 Bi 0.4172 0.1657 0.2515 1
Bi4 Bi 0.5828 0.8343 0.7485 1
Bi5 Bi 0.7482 0.5000 0.2482 1
Bi6 Bi 0.9142 0.1657 0.7485 1
O1 O 0.0000 0.0000 0.5000 1
O2 O 0.0000 0.5000 0.0000 1
O3 O 0.0000 0.5000 0.5000 1
O4 O 0.1675 0.1675 0.0000 1
O5 O 0.1731 0.1645 0.5035 1
O6 O 0.1731 0.6695 0.0086 1
O7 O 0.3324 0.8324 0.5000 1
O8 O 0.3391 0.3305 0.5035 1
O9 O 0.3391 0.8355 0.0086 1
O10 O 0.5000 0.0000 0.0000 1
O11 O 0.5000 0.5000 0.5000 1
O12 O 0.6609 0.1645 0.9914 1
O13 O 0.6609 0.6695 0.4965 1
O14 O 0.6676 0.1676 0.5000 1
O15 O 0.8269 0.3305 0.9914 1
O16 O 0.8269 0.8355 0.4965 1
O17 O 0.8325 0.8325 0.0000 1
```